Structure and computed XRD peak list of Zn3Cu2Pd2 (a DFT-relaxed cell (GGA-PBE, Alexandria); Cu Kα).

Main lines, by angle (2θ = 10–90°):
two_theta  intensity
40.94  100
41.53  47
41.75  46
44.61  38
45.40  37
53.75  22
65.38  12
65.70  11
80.79  18
88.77  10

Structure:
Lattice parameters (Å, degrees): 3.996 4.399 6.368 102.61 90.18 116.71
Element x y z (fractional)
Zn1 0.000 0.000 0.000
Zn2 0.421 0.842 0.294
Zn3 0.579 0.158 0.706
Cu1 0.139 0.277 0.425
Cu2 0.861 0.723 0.575
Pd1 0.292 0.584 0.852
Pd2 0.708 0.416 0.148